Computed powder diffractogram
Compound: Ca5As3HO13
Radiation: Cu Kα X-rays
Structure: DFT lattice parameters and positions (GGA-PBE)

Most intense lines, 10 to 80 degrees two-theta, in order of falling intensity:
two_theta  I_rel
30.1  100
30.9  54
21.9  47
25.7  38
31.4  37
48.2  32
33.1  31
53.0  25

Structure:
```
Ca5As3HO13
1.0
10.0228 0.0000 0.0000
-5.0114 8.6800 0.0000
0.0000 0.0000 6.9287
Ca As H O
10 6 2 26
Direct
0.0170 0.7626 0.0000 Ca
0.2374 0.2544 0.0000 Ca
0.2544 0.0170 0.5000 Ca
0.3333 0.6667 0.2530 Ca
0.3333 0.6667 0.7475 Ca
0.6667 0.3333 0.2475 Ca
0.6667 0.3333 0.7530 Ca
0.7456 0.9830 0.0000 Ca
0.7626 0.7456 0.5000 Ca
0.9830 0.2374 0.5000 Ca
0.0274 0.4029 0.0008 As
0.3755 0.9726 0.0008 As
0.4029 0.3755 0.5008 As
0.5971 0.6245 0.0008 As
0.6245 0.0274 0.5008 As
0.9726 0.5971 0.5008 As
0.0000 0.0000 0.1705 H
0.0000 0.0000 0.6705 H
0.0000 0.0000 0.0292 O
0.0000 0.0000 0.5292 O
0.0857 0.3377 0.8061 O
0.0891 0.3436 0.1979 O
0.1356 0.6024 0.9984 O
0.1651 0.6604 0.5013 O
0.2521 0.9143 0.8061 O
0.2544 0.9109 0.1979 O
0.3377 0.2521 0.3061 O
0.3396 0.5047 0.5013 O
0.3436 0.2544 0.6979 O
0.3976 0.5332 0.9984 O
0.4668 0.8644 0.9984 O
0.4953 0.8349 0.5013 O
0.5047 0.1651 0.0013 O
0.5332 0.1356 0.4984 O
0.6024 0.4668 0.4984 O
0.6564 0.7456 0.1979 O
0.6604 0.4953 0.0013 O
0.6623 0.7479 0.8061 O
0.7456 0.0891 0.6979 O
0.7479 0.0857 0.3061 O
0.8349 0.3396 0.0013 O
0.8644 0.3976 0.4984 O
0.9109 0.6564 0.6979 O
0.9143 0.6623 0.3061 O
```

***

Computed powder diffractogram
Compound: CaAs2H4O8
Radiation: Cu Kα X-rays
Structure: DFT lattice parameters and positions (GGA-PBE)

Most intense lines, 10 to 80 degrees two-theta, in order of falling intensity:
two_theta  I_rel
24.5  100
23.7  82
27.8  72
23.1  58
19.5  55
21.6  49
41.0  42
23.2  39

Structure:
```
CaAs2H4O8
1.0
5.7648 0.0000 0.0000
-0.3854 7.9497 0.0000
-2.8642 -3.3623 7.5600
Ca As H O
2 4 8 16
Direct
0.1894 0.3143 0.4159 Ca
0.8106 0.6857 0.5841 Ca
0.1734 0.7285 0.3171 As
0.4777 0.7402 0.8429 As
0.5223 0.2598 0.1571 As
0.8266 0.2715 0.6829 As
0.0000 0.5000 0.0000 H
0.1498 0.1328 0.7728 H
0.2297 0.9845 0.0036 H
0.4160 0.6769 0.0680 H
0.5000 0.0000 0.5000 H
0.5840 0.3231 0.9320 H
0.7703 0.0155 0.9964 H
0.8502 0.8672 0.2272 H
0.0201 0.9174 0.3218 O
0.0303 0.5912 0.3815 O
0.1731 0.6238 0.1065 O
0.2085 0.8221 0.8167 O
0.2682 0.0978 0.1186 O
0.4305 0.2881 0.9556 O
0.4748 0.8358 0.4604 O
0.4978 0.5625 0.6705 O
0.5022 0.4375 0.3295 O
0.5252 0.1642 0.5396 O
0.5695 0.7119 0.0444 O
0.7318 0.9022 0.8814 O
0.7915 0.1779 0.1833 O
0.8269 0.3762 0.8935 O
0.9697 0.4088 0.6185 O
0.9799 0.0826 0.6782 O
```

***

Computed powder diffractogram
Compound: Ca2AsH2O6
Radiation: Cu Kα X-rays
Structure: DFT lattice parameters and positions (GGA-PBE)

Most intense lines, 10 to 80 degrees two-theta, in order of falling intensity:
two_theta  I_rel
21.4  100
48.8  72
36.9  67
35.9  57
31.9  55
68.5  25
65.2  22
76.2  18

Structure:
```
Ca2AsH2O6
1.0
2.4982 1.4423 4.9182
-2.4982 1.4423 4.9182
0.0000 -2.8846 4.9182
Ca As H O
2 1 2 6
Direct
0.2241 0.2241 0.2241 Ca
0.7759 0.7759 0.7759 Ca
0.0000 0.0000 0.0000 As
0.4059 0.4059 0.4059 H
0.5941 0.5941 0.5941 H
0.2459 0.2459 0.7430 O
0.2459 0.7430 0.2459 O
0.2570 0.7541 0.7541 O
0.7430 0.2459 0.2459 O
0.7541 0.2570 0.7541 O
0.7541 0.7541 0.2570 O
```

***

> Number 2 is which compound?

CaAs2H4O8